(1)
The following is a theoretical powder diffractogram of ThBrCl. It was derived from a cell relaxed with GGA-PBE, using a wavelength of 1.5418 Å.
Lines closer than 0.1° are merged.

Peak list (10 most intense, 10 to 90 degrees two-theta, low angle first)
2θ/deg, I_rel
10.82, 100
28.09, 20
30.19, 73
35.80, 61
43.77, 24
49.72, 17
51.04, 14
59.27, 11
62.77, 12
68.78, 13

Atomic structure:
```
data_ThBrCl
_chemical_formula_sum 'Th1 Br1 Cl1'
_space_group_name_H-M_alt 'P 1'
_space_group_IT_number 1
_space_group_name_Hall 'P 1'
_cell_length_a 3.6676
_cell_length_b 3.6676
_cell_length_c 8.1744
_cell_angle_alpha 90.00
_cell_angle_beta 90.00
_cell_angle_gamma 120.00
loop_
_atom_site_label
_atom_site_type_symbol
_atom_site_fract_x
_atom_site_fract_y
_atom_site_fract_z
Th1 Th 0.0000 0.0000 0.0000
Br1 Br 0.3333 0.6667 0.7360
Cl1 Cl 0.6667 0.3333 0.2434
```

=====

(2)
The following is a theoretical powder diffractogram of AcTbNbO6. It was derived from a cell relaxed with GGA-PBE, using a wavelength of 1.5418 Å.
Lines closer than 0.1° are merged.

Peak list (10 most intense, 10 to 90 degrees two-theta, low angle first)
2θ/deg, I_rel
24.17, 100
30.65, 91
34.45, 27
46.77, 70
49.51, 17
55.84, 18
58.06, 18
59.36, 20
70.48, 17
80.86, 13

Atomic structure:
```
data_AcTbNbO6
_chemical_formula_sum 'Ac2 Tb2 Nb2 O12'
_space_group_name_H-M_alt 'P 1'
_space_group_IT_number 1
_space_group_name_Hall 'P 1'
_cell_length_a 5.2068
_cell_length_b 5.2068
_cell_length_c 10.5653
_cell_angle_alpha 90.00
_cell_angle_beta 90.00
_cell_angle_gamma 90.00
loop_
_atom_site_label
_atom_site_type_symbol
_atom_site_fract_x
_atom_site_fract_y
_atom_site_fract_z
Ac1 Ac 0.0000 0.0000 0.0000
Ac2 Ac 0.5000 0.5000 0.5000
Tb1 Tb 0.0000 0.0000 0.3343
Tb2 Tb 0.5000 0.5000 0.8343
Nb1 Nb 0.0000 0.0000 0.6659
Nb2 Nb 0.5000 0.5000 0.1659
O1 O 0.1729 0.1729 0.5142
O2 O 0.1923 0.1923 0.8013
O3 O 0.2259 0.2259 0.1814
O4 O 0.2741 0.7259 0.6814
O5 O 0.3077 0.6923 0.3013
O6 O 0.3271 0.6729 0.0142
O7 O 0.6729 0.3271 0.0142
O8 O 0.6923 0.3077 0.3013
O9 O 0.7259 0.2741 0.6814
O10 O 0.7741 0.7741 0.1814
O11 O 0.8077 0.8077 0.8013
O12 O 0.8271 0.8271 0.5142
```

=====

(3)
The following is a theoretical powder diffractogram of Rb3BaMg2F9. It was derived from a cell relaxed with GGA-PBE, using a wavelength of 1.5418 Å.
Lines closer than 0.1° are merged.

Peak list (10 most intense, 10 to 90 degrees two-theta, low angle first)
2θ/deg, I_rel
16.76, 17
20.04, 24
27.72, 100
29.23, 77
35.70, 27
40.72, 80
48.10, 22
50.91, 32
57.27, 19
60.63, 22

Atomic structure:
```
data_Rb3BaMg2F9
_chemical_formula_sum 'Rb3 Ba1 Mg2 F9'
_space_group_name_H-M_alt 'P 1'
_space_group_IT_number 1
_space_group_name_Hall 'P 1'
_cell_length_a 6.1097
_cell_length_b 6.1097
_cell_length_c 8.1086
_cell_angle_alpha 90.00
_cell_angle_beta 90.00
_cell_angle_gamma 120.00
loop_
_atom_site_label
_atom_site_type_symbol
_atom_site_fract_x
_atom_site_fract_y
_atom_site_fract_z
Rb1 Rb 0.0000 0.0000 0.0000
Rb2 Rb 0.3333 0.6667 0.7169
Rb3 Rb 0.6667 0.3333 0.2831
Ba1 Ba 0.0000 0.0000 0.5000
Mg1 Mg 0.3333 0.6667 0.1468
Mg2 Mg 0.6667 0.3333 0.8532
F1 F 0.0000 0.5000 0.0000
F2 F 0.1798 0.3595 0.2888
F3 F 0.1798 0.8202 0.2888
F4 F 0.3595 0.1798 0.7112
F5 F 0.5000 0.0000 0.0000
F6 F 0.5000 0.5000 0.0000
F7 F 0.6405 0.8202 0.2888
F8 F 0.8202 0.1798 0.7112
F9 F 0.8202 0.6405 0.7112
```

=====

(4)
The following is a theoretical powder diffractogram of Cs2TeSeO6. It was derived from a cell relaxed with GGA-PBE, using a wavelength of 1.5418 Å.
Lines closer than 0.1° are merged.

Peak list (10 most intense, 10 to 90 degrees two-theta, low angle first)
2θ/deg, I_rel
27.16, 100
30.62, 24
31.88, 30
44.79, 18
45.71, 18
52.35, 19
53.98, 29
56.02, 16
71.99, 14
83.89, 7

Atomic structure:
```
data_Cs2TeSeO6
_chemical_formula_sum 'Cs2 Te1 Se1 O6'
_space_group_name_H-M_alt 'P 1'
_space_group_IT_number 1
_space_group_name_Hall 'P 1'
_cell_length_a 7.0611
_cell_length_b 7.0611
_cell_length_c 7.0611
_cell_angle_alpha 133.15
_cell_angle_beta 133.15
_cell_angle_gamma 68.42
loop_
_atom_site_label
_atom_site_type_symbol
_atom_site_fract_x
_atom_site_fract_y
_atom_site_fract_z
Cs1 Cs 0.2500 0.7500 0.5000
Cs2 Cs 0.7500 0.2500 0.5000
Te1 Te 0.0000 0.0000 0.0000
Se1 Se 0.5000 0.5000 0.0000
O1 O 0.1600 0.1600 0.0000
O2 O 0.2576 0.2576 0.5152
O3 O 0.2576 0.7424 0.0000
O4 O 0.7424 0.2576 0.0000
O5 O 0.7424 0.7424 0.4848
O6 O 0.8400 0.8400 0.0000
```

=====

(5)
The following is a theoretical powder diffractogram of CsTa2Se6. It was derived from a cell relaxed with GGA-PBE, using a wavelength of 1.5418 Å.
Lines closer than 0.1° are merged.

Peak list (10 most intense, 10 to 90 degrees two-theta, low angle first)
2θ/deg, I_rel
18.93, 94
29.80, 43
34.04, 17
34.31, 16
34.63, 100
41.60, 26
44.65, 19
49.59, 33
49.99, 34
61.90, 18

Atomic structure:
```
data_CsTa2Se6
_chemical_formula_sum 'Cs1 Ta2 Se6'
_space_group_name_H-M_alt 'P 1'
_space_group_IT_number 1
_space_group_name_Hall 'P 1'
_cell_length_a 6.3681
_cell_length_b 6.3681
_cell_length_c 8.9048
_cell_angle_alpha 90.00
_cell_angle_beta 90.00
_cell_angle_gamma 120.00
loop_
_atom_site_label
_atom_site_type_symbol
_atom_site_fract_x
_atom_site_fract_y
_atom_site_fract_z
Cs1 Cs 0.0000 0.0000 0.0000
Ta1 Ta 0.3333 0.6667 0.5000
Ta2 Ta 0.6667 0.3333 0.5000
Se1 Se 0.0000 0.3494 0.6712
Se2 Se 0.0000 0.6506 0.3288
Se3 Se 0.3494 0.0000 0.6712
Se4 Se 0.3494 0.3494 0.3288
Se5 Se 0.6506 0.0000 0.3288
Se6 Se 0.6506 0.6506 0.6712
```

=====

(6)
The following is a theoretical powder diffractogram of Cd2Pd5Pt. It was derived from a cell relaxed with GGA-PBE, using a wavelength of 1.5418 Å.
Lines closer than 0.1° are merged.

Peak list (10 most intense, 10 to 90 degrees two-theta, low angle first)
2θ/deg, I_rel
17.42, 3
28.22, 3
38.71, 100
44.88, 16
45.06, 32
65.48, 21
65.62, 10
78.61, 12
78.86, 24
83.03, 10

Atomic structure:
```
data_Cd2Pd5Pt
_chemical_formula_sum 'Cd4 Pd10 Pt2'
_space_group_name_H-M_alt 'P 1'
_space_group_IT_number 1
_space_group_name_Hall 'P 1'
_cell_length_a 5.6920
_cell_length_b 11.3810
_cell_length_c 4.0389
_cell_angle_alpha 90.00
_cell_angle_beta 90.00
_cell_angle_gamma 90.00
loop_
_atom_site_label
_atom_site_type_symbol
_atom_site_fract_x
_atom_site_fract_y
_atom_site_fract_z
Cd1 Cd 0.2400 0.1268 0.0000
Cd2 Cd 0.2600 0.6268 0.0000
Cd3 Cd 0.7400 0.3732 0.0000
Cd4 Cd 0.7600 0.8732 0.0000
Pd1 Pd 0.0000 0.0000 0.5000
Pd2 Pd 0.0118 0.7492 0.5000
Pd3 Pd 0.2401 0.3771 0.0000
Pd4 Pd 0.2599 0.8771 0.0000
Pd5 Pd 0.4882 0.2492 0.5000
Pd6 Pd 0.5000 0.5000 0.5000
Pd7 Pd 0.5118 0.7508 0.5000
Pd8 Pd 0.7401 0.1229 0.0000
Pd9 Pd 0.7599 0.6229 0.0000
Pd10 Pd 0.9882 0.2508 0.5000
Pt1 Pt 0.0000 0.5000 0.5000
Pt2 Pt 0.5000 0.0000 0.5000
```

=====

(7)
The following is a theoretical powder diffractogram of Cu3TeS3Cl. It was derived from a cell relaxed with GGA-PBE, using a wavelength of 1.5418 Å.
Lines closer than 0.1° are merged.

Peak list (10 most intense, 10 to 90 degrees two-theta, low angle first)
2θ/deg, I_rel
25.91, 43
29.10, 100
32.83, 23
35.59, 15
41.06, 11
45.07, 37
49.09, 32
52.72, 20
56.33, 19
75.38, 10

Atomic structure:
```
data_Cu3TeS3Cl
_chemical_formula_sum 'Cu3 Te1 S3 Cl1'
_space_group_name_H-M_alt 'P 1'
_space_group_IT_number 1
_space_group_name_Hall 'P 1'
_cell_length_a 5.4952
_cell_length_b 5.4952
_cell_length_c 5.4952
_cell_angle_alpha 84.98
_cell_angle_beta 84.98
_cell_angle_gamma 84.98
loop_
_atom_site_label
_atom_site_type_symbol
_atom_site_fract_x
_atom_site_fract_y
_atom_site_fract_z
Cu1 Cu 0.1920 0.1920 0.6161
Cu2 Cu 0.1920 0.6161 0.1920
Cu3 Cu 0.6161 0.1920 0.1920
Te1 Te 0.6712 0.6712 0.6712
S1 S 0.3912 0.3912 0.8929
S2 S 0.3912 0.8929 0.3912
S3 S 0.8929 0.3912 0.3912
Cl1 Cl 0.9852 0.9852 0.9852
```

=====

(8)
The following is a theoretical powder diffractogram of Ag12HgS6. It was derived from a cell relaxed with GGA-PBE, using a wavelength of 1.5418 Å.
Lines closer than 0.1° are merged.

Peak list (10 most intense, 10 to 90 degrees two-theta, low angle first)
2θ/deg, I_rel
24.76, 48
25.22, 18
34.51, 100
37.70, 43
38.89, 18
39.95, 13
45.50, 33
59.69, 31
70.79, 12
73.54, 13

Atomic structure:
```
data_Ag12HgS6
_chemical_formula_sum 'Ag12 Hg1 S6'
_space_group_name_H-M_alt 'P 1'
_space_group_IT_number 1
_space_group_name_Hall 'P 1'
_cell_length_a 8.4077
_cell_length_b 8.4077
_cell_length_c 8.4077
_cell_angle_alpha 58.37
_cell_angle_beta 58.37
_cell_angle_gamma 58.37
loop_
_atom_site_label
_atom_site_type_symbol
_atom_site_fract_x
_atom_site_fract_y
_atom_site_fract_z
Ag1 Ag 0.0748 0.7905 0.6298
Ag2 Ag 0.2065 0.6178 0.3328
Ag3 Ag 0.2095 0.3702 0.9252
Ag4 Ag 0.3328 0.2065 0.6178
Ag5 Ag 0.3702 0.9252 0.2095
Ag6 Ag 0.3822 0.6672 0.7935
Ag7 Ag 0.6178 0.3328 0.2065
Ag8 Ag 0.6298 0.0748 0.7905
Ag9 Ag 0.6672 0.7935 0.3822
Ag10 Ag 0.7905 0.6298 0.0748
Ag11 Ag 0.7935 0.3822 0.6672
Ag12 Ag 0.9252 0.2095 0.3702
Hg1 Hg 0.0000 0.0000 0.0000
S1 S 0.0237 0.4865 0.7095
S2 S 0.2905 0.9763 0.5135
S3 S 0.4865 0.7095 0.0237
S4 S 0.5135 0.2905 0.9763
S5 S 0.7095 0.0237 0.4865
S6 S 0.9763 0.5135 0.2905
```

=====

(9)
The following is a theoretical powder diffractogram of Tm2Rh4Pb3. It was derived from a cell relaxed with GGA-PBE, using a wavelength of 1.5418 Å.
Lines closer than 0.1° are merged.

Peak list (10 most intense, 10 to 90 degrees two-theta, low angle first)
2θ/deg, I_rel
27.28, 42
31.15, 37
32.02, 70
33.11, 32
33.71, 49
39.17, 100
39.74, 36
40.01, 43
40.91, 33
69.54, 28

Atomic structure:
```
data_Tm2Rh4Pb3
_chemical_formula_sum 'Tm4 Rh8 Pb6'
_space_group_name_H-M_alt 'P 1'
_space_group_IT_number 1
_space_group_name_Hall 'P 1'
_cell_length_a 9.3075
_cell_length_b 9.3075
_cell_length_c 7.0423
_cell_angle_alpha 90.00
_cell_angle_beta 90.00
_cell_angle_gamma 141.91
loop_
_atom_site_label
_atom_site_type_symbol
_atom_site_fract_x
_atom_site_fract_y
_atom_site_fract_z
Tm1 Tm 0.0962 0.9038 0.9120
Tm2 Tm 0.4038 0.5962 0.4120
Tm3 Tm 0.5962 0.4038 0.5880
Tm4 Tm 0.9038 0.0962 0.0880
Rh1 Rh 0.1563 0.8437 0.5478
Rh2 Rh 0.1723 0.3277 0.7500
Rh3 Rh 0.3277 0.1723 0.2500
Rh4 Rh 0.3437 0.6563 0.0478
Rh5 Rh 0.6563 0.3437 0.9522
Rh6 Rh 0.6723 0.8277 0.7500
Rh7 Rh 0.8277 0.6723 0.2500
Rh8 Rh 0.8437 0.1563 0.4522
Pb1 Pb 0.0000 0.0000 0.5000
Pb2 Pb 0.0147 0.4853 0.7500
Pb3 Pb 0.4853 0.0147 0.2500
Pb4 Pb 0.5000 0.5000 0.0000
Pb5 Pb 0.5147 0.9853 0.7500
Pb6 Pb 0.9853 0.5147 0.2500
```

=====

(10)
The following is a theoretical powder diffractogram of Pr3Nd4. It was derived from a cell relaxed with GGA-PBE, using a wavelength of 1.5418 Å.
Lines closer than 0.1° are merged.

Peak list (10 most intense, 10 to 90 degrees two-theta, low angle first)
2θ/deg, I_rel
28.90, 31
29.05, 31
31.53, 100
41.44, 24
48.72, 7
52.84, 12
52.96, 11
53.08, 23
57.73, 13
80.10, 7

Atomic structure:
```
data_Pr3Nd4
_chemical_formula_sum 'Pr6 Nd8'
_space_group_name_H-M_alt 'P 1'
_space_group_IT_number 1
_space_group_name_Hall 'P 1'
_cell_length_a 12.9191
_cell_length_b 6.1469
_cell_length_c 6.3947
_cell_angle_alpha 90.00
_cell_angle_beta 101.92
_cell_angle_gamma 90.00
loop_
_atom_site_label
_atom_site_type_symbol
_atom_site_fract_x
_atom_site_fract_y
_atom_site_fract_z
Pr1 Pr 0.0000 0.0000 0.0000
Pr2 Pr 0.2110 0.5000 0.8612
Pr3 Pr 0.2890 0.0000 0.1388
Pr4 Pr 0.5000 0.5000 0.0000
Pr5 Pr 0.7110 0.0000 0.8612
Pr6 Pr 0.7890 0.5000 0.1388
Nd1 Nd 0.0728 0.5000 0.2928
Nd2 Nd 0.1430 0.0000 0.5657
Nd3 Nd 0.3570 0.5000 0.4343
Nd4 Nd 0.4272 0.0000 0.7072
Nd5 Nd 0.5728 0.0000 0.2928
Nd6 Nd 0.6430 0.5000 0.5657
Nd7 Nd 0.8570 0.0000 0.4343
Nd8 Nd 0.9272 0.5000 0.7072
```

=====

(11)
The following is a theoretical powder diffractogram of Tl2PPt. It was derived from a cell relaxed with GGA-PBE, using a wavelength of 1.5418 Å.
Lines closer than 0.1° are merged.

Peak list (10 most intense, 10 to 90 degrees two-theta, low angle first)
2θ/deg, I_rel
29.50, 100
29.81, 77
32.77, 72
33.62, 59
40.24, 40
45.32, 63
46.37, 24
56.30, 24
57.94, 30
58.49, 25

Atomic structure:
```
data_Tl2PPt
_chemical_formula_sum 'Tl4 P2 Pt2'
_space_group_name_H-M_alt 'P 1'
_space_group_IT_number 1
_space_group_name_Hall 'P 1'
_cell_length_a 3.9159
_cell_length_b 5.3320
_cell_length_c 9.5495
_cell_angle_alpha 90.00
_cell_angle_beta 90.00
_cell_angle_gamma 90.00
loop_
_atom_site_label
_atom_site_type_symbol
_atom_site_fract_x
_atom_site_fract_y
_atom_site_fract_z
Tl1 Tl 0.0000 0.0000 0.0000
Tl2 Tl 0.0000 0.5000 0.5000
Tl3 Tl 0.5000 0.0000 0.3635
Tl4 Tl 0.5000 0.5000 0.8635
P1 P 0.5000 0.0000 0.7352
P2 P 0.5000 0.5000 0.2352
Pt1 Pt 0.0000 0.0000 0.6093
Pt2 Pt 0.0000 0.5000 0.1093
```

=====

(12)
The following is a theoretical powder diffractogram of SiPb2Cl. It was derived from a cell relaxed with GGA-PBE, using a wavelength of 1.5418 Å.
Lines closer than 0.1° are merged.

Peak list (10 most intense, 10 to 90 degrees two-theta, low angle first)
2θ/deg, I_rel
24.09, 29
25.59, 100
29.17, 88
29.29, 44
31.67, 16
40.83, 39
42.63, 18
42.76, 35
49.59, 18
52.59, 26

Atomic structure:
```
data_SiPb2Cl
_chemical_formula_sum 'Si2 Pb4 Cl2'
_space_group_name_H-M_alt 'P 1'
_space_group_IT_number 1
_space_group_name_Hall 'P 1'
_cell_length_a 7.3181
_cell_length_b 4.2413
_cell_length_c 7.7736
_cell_angle_alpha 90.00
_cell_angle_beta 108.11
_cell_angle_gamma 90.00
loop_
_atom_site_label
_atom_site_type_symbol
_atom_site_fract_x
_atom_site_fract_y
_atom_site_fract_z
Si1 Si 0.0000 0.0000 0.0000
Si2 Si 0.5000 0.5000 0.0000
Pb1 Pb 0.2345 0.5000 0.2101
Pb2 Pb 0.2655 0.0000 0.7899
Pb3 Pb 0.7345 0.0000 0.2101
Pb4 Pb 0.7655 0.5000 0.7899
Cl1 Cl 0.0000 0.5000 0.5000
Cl2 Cl 0.5000 0.0000 0.5000
```

=====

(13)
The following is a theoretical powder diffractogram of Al2CuS4. It was derived from a cell relaxed with GGA-PBE, using a wavelength of 1.5418 Å.
Lines closer than 0.1° are merged.

Peak list (10 most intense, 10 to 90 degrees two-theta, low angle first)
2θ/deg, I_rel
17.48, 20
23.72, 25
29.62, 100
36.80, 10
43.05, 10
48.54, 45
50.92, 19
55.73, 14
60.01, 23
78.84, 10

Atomic structure:
```
data_Al2CuS4
_chemical_formula_sum 'Al2 Cu1 S4'
_space_group_name_H-M_alt 'P 1'
_space_group_IT_number 1
_space_group_name_Hall 'P 1'
_cell_length_a 5.0725
_cell_length_b 5.0725
_cell_length_c 5.5728
_cell_angle_alpha 90.00
_cell_angle_beta 90.00
_cell_angle_gamma 90.00
loop_
_atom_site_label
_atom_site_type_symbol
_atom_site_fract_x
_atom_site_fract_y
_atom_site_fract_z
Al1 Al 0.0000 0.5000 0.0000
Al2 Al 0.5000 0.0000 0.0000
Cu1 Cu 0.0000 0.0000 0.5000
S1 S 0.2583 0.2583 0.7492
S2 S 0.2583 0.7417 0.2508
S3 S 0.7417 0.2583 0.2508
S4 S 0.7417 0.7417 0.7492
```

=====

(14)
The following is a theoretical powder diffractogram of Er2TeS. It was derived from a cell relaxed with GGA-PBE, using a wavelength of 1.5418 Å.
Lines closer than 0.1° are merged.

Peak list (10 most intense, 10 to 90 degrees two-theta, low angle first)
2θ/deg, I_rel
25.78, 11
26.87, 18
30.88, 100
33.60, 24
39.46, 10
43.68, 26
44.78, 40
55.39, 19
61.19, 17
73.87, 16

Atomic structure:
```
data_Er2TeS
_chemical_formula_sum 'Er6 Te3 S3'
_space_group_name_H-M_alt 'P 1'
_space_group_IT_number 1
_space_group_name_Hall 'P 1'
_cell_length_a 4.0476
_cell_length_b 4.0476
_cell_length_c 20.5540
_cell_angle_alpha 90.00
_cell_angle_beta 90.00
_cell_angle_gamma 120.00
loop_
_atom_site_label
_atom_site_type_symbol
_atom_site_fract_x
_atom_site_fract_y
_atom_site_fract_z
Er1 Er 0.0000 0.0000 0.2335
Er2 Er 0.0000 0.0000 0.7665
Er3 Er 0.3333 0.6667 0.4331
Er4 Er 0.3333 0.6667 0.9002
Er5 Er 0.6667 0.3333 0.0998
Er6 Er 0.6667 0.3333 0.5669
Te1 Te 0.0000 0.0000 0.0000
Te2 Te 0.3333 0.6667 0.6667
Te3 Te 0.6667 0.3333 0.3333
S1 S 0.0000 0.0000 0.5000
S2 S 0.3333 0.6667 0.1667
S3 S 0.6667 0.3333 0.8333
```